SrVH: calculated powder diffractogram (Cu Kα (λ = 1.5418 Å)), based on a structure optimized by DFT (GGA-PBE).
Lines closer than 0.1° are merged.

```
data_SrVH
_chemical_formula_sum 'Sr2 V2 H2'
_cell_length_a 5.7679
_cell_length_b 4.2697
_cell_length_c 5.8369
_cell_angle_alpha 90.00
_cell_angle_beta 119.50
_cell_angle_gamma 90.00
_symmetry_space_group_name_H-M 'P 1 m 1'
_symmetry_Int_Tables_number 6
loop_
_symmetry_equiv_pos_as_xyz
'x,y,z'
'x,-y,z'
loop_
_atom_site_label
_atom_site_type_symbol
_atom_site_fract_x
_atom_site_fract_y
_atom_site_fract_z
_atom_site_occupancy
Sr1 Sr 0.0000 0.0000 0.0000 1
Sr2 Sr 0.3325 0.5000 0.6600 1
V1 V 0.6662 0.2245 0.3293 1
H1 H 0.7899 0.5000 0.1457 1
H2 H 0.9843 0.0000 0.5367 1
```

Largest 10 diffraction maxima, most intense first, 2θ from 10° to 90°:
2θ/deg	I/Imax	(hkl)
30.61	1000	1 0 1
27.43	808	1 1 0
31.01	474	2 0 -1
27.28	405	0 1 1
41.77	273	2 1 -2
46.17	262	1 2 0
54.91	180	3 0 0
52.32	141	1 1 -3
46.22	137	1 2 -1
56.62	137	2 2 0

***

Sr2VH: calculated powder diffractogram (Cu Kα (λ = 1.5418 Å)), based on a structure optimized by DFT (GGA-PBE).
Lines closer than 0.1° are merged.

```
data_Sr2VH
_chemical_formula_sum 'Sr8 V4 H4'
_cell_length_a 7.7820
_cell_length_b 7.7820
_cell_length_c 7.7820
_cell_angle_alpha 90.00
_cell_angle_beta 90.00
_cell_angle_gamma 90.00
_symmetry_space_group_name_H-M 'F m -3 m'
_symmetry_Int_Tables_number 225
_symmetry_space_group_name_Hall '-F 4 2 3'
loop_
_atom_site_label
_atom_site_type_symbol
_atom_site_fract_x
_atom_site_fract_y
_atom_site_fract_z
_atom_site_occupancy
Sr1 Sr 0.2500 0.2500 0.2500 1
V1 V 0.0000 0.0000 0.0000 1
H1 H 0.0000 0.0000 0.5000 1
```

Largest 10 diffraction maxima, most intense first, 2θ from 10° to 90°:
2θ/deg	I/Imax	(hkl)
32.54	1000	2 2 0
58.07	360	4 2 2
22.86	355	2 0 0
46.69	176	4 0 0
52.59	156	4 2 0
77.59	152	6 2 0
40.14	112	2 2 2
19.76	112	1 1 1
68.17	110	4 4 0
72.94	77	6 0 0

***

SrZn2H: calculated powder diffractogram (Cu Kα (λ = 1.5418 Å)), based on a structure optimized by DFT (GGA-PBE).
Lines closer than 0.1° are merged.

a = 8.5201 Å, b = 8.5201 Å, c = 8.5201 Å
α = 90.00°, β = 90.00°, γ = 90.00°
Space group Fd-3m (No. 227, origin choice 2)
Symmetry-distinct sites (fractional):
Sr  0.1250  0.1250  0.1250 [8 per cell]
Zn  0.0000  0.0000  0.5000 [16 per cell]
H  0.1250  0.1250  0.6250 [8 per cell]

Largest 10 diffraction maxima, most intense first, 2θ from 10° to 90°:
2θ/deg	I/Imax	(hkl)
34.93	1000	3 1 1
29.66	354	2 2 0
36.53	341	2 2 2
56.09	330	5 1 1
61.57	279	4 4 0
88.06	205	7 3 1
52.63	137	4 2 2
73.77	117	6 2 2
72.79	111	5 3 3
85.24	69	6 4 2

***

Sr2Zn2H7: calculated powder diffractogram (Cu Kα (λ = 1.5418 Å)), based on a structure optimized by DFT (GGA-PBE).
Lines closer than 0.1° are merged.

```
data_Sr2Zn2H7
_chemical_formula_sum 'Sr4 Zn4 H14'
_cell_length_a 7.8602
_cell_length_b 8.7950
_cell_length_c 4.4738
_cell_angle_alpha 90.00
_cell_angle_beta 106.26
_cell_angle_gamma 90.00
_symmetry_space_group_name_H-M 'C 1 2/m 1'
_symmetry_Int_Tables_number 12
loop_
_symmetry_equiv_pos_as_xyz
'x,y,z'
'-x,-y,-z'
'-x,y,-z'
'x,-y,z'
'x+1/2,y+1/2,z'
'-x+1/2,-y+1/2,-z'
'-x+1/2,y+1/2,-z'
'x+1/2,-y+1/2,z'
loop_
_atom_site_label
_atom_site_type_symbol
_atom_site_fract_x
_atom_site_fract_y
_atom_site_fract_z
_atom_site_occupancy
Sr1 Sr 0.0000 0.2366 0.0000 1
Zn1 Zn 0.2316 0.5000 0.4451 1
H1 H 0.0000 0.5000 0.5000 1
H2 H 0.1492 0.0000 0.1888 1
H3 H 0.2107 0.1618 0.7048 1
```

Largest 10 diffraction maxima, most intense first, 2θ from 10° to 90°:
2θ/deg	I/Imax	(hkl)
29.06	1000	0 2 1
31.24	838	2 2 0
26.73	660	2 0 -1
35.81	264	2 0 1
47.20	245	2 2 -2
49.66	222	2 4 -1
51.52	212	4 2 -1
41.05	197	0 4 0
42.08	151	0 0 2
48.26	140	4 0 0

***

Ta6H5: calculated powder diffractogram (Cu Kα (λ = 1.5418 Å)), based on a structure optimized by DFT (GGA-PBE).
Lines closer than 0.1° are merged.

```
data_Ta6H5
_chemical_formula_sum 'Ta12 H10'
_cell_length_a 4.8702
_cell_length_b 10.2276
_cell_length_c 4.8465
_cell_angle_alpha 90.00
_cell_angle_beta 93.35
_cell_angle_gamma 90.00
_symmetry_space_group_name_H-M 'C 1 2/m 1'
_symmetry_Int_Tables_number 12
loop_
_symmetry_equiv_pos_as_xyz
'x,y,z'
'-x,-y,-z'
'-x,y,-z'
'x,-y,z'
'x+1/2,y+1/2,z'
'-x+1/2,-y+1/2,-z'
'-x+1/2,y+1/2,-z'
'x+1/2,-y+1/2,z'
loop_
_atom_site_label
_atom_site_type_symbol
_atom_site_fract_x
_atom_site_fract_y
_atom_site_fract_z
_atom_site_occupancy
Ta1 Ta 0.2409 0.1648 0.2462 1
Ta2 Ta 0.2425 0.5000 0.2718 1
H1 H 0.0000 0.0000 0.0000 1
H2 H 0.0000 0.2471 0.5000 1
H3 H 0.0000 0.4036 0.0000 1
```

Largest 10 diffraction maxima, most intense first, 2θ from 10° to 90°:
2θ/deg	I/Imax	(hkl)
36.62	1000	1 3 -1
37.74	934	1 3 1
36.98	483	2 0 0
37.17	470	0 0 2
51.73	184	2 0 -2
65.66	181	3 3 -1
67.06	175	2 6 0
65.91	174	1 3 -3
67.18	171	0 6 2
53.78	170	0 6 0

***

TaH3: calculated powder diffractogram (Cu Kα (λ = 1.5418 Å)), based on a structure optimized by DFT (GGA-PBE).
Lines closer than 0.1° are merged.

```
data_TaH3
_chemical_formula_sum 'Ta1 H3'
_cell_length_a 2.9258
_cell_length_b 2.9258
_cell_length_c 3.0888
_cell_angle_alpha 90.00
_cell_angle_beta 90.00
_cell_angle_gamma 90.00
_symmetry_space_group_name_H-M 'P 4 m m'
_symmetry_Int_Tables_number 99
loop_
_symmetry_equiv_pos_as_xyz
'x,y,z'
'-y,x,z'
'-x,-y,z'
'y,-x,z'
'-x,y,z'
'y,x,z'
'x,-y,z'
'-y,-x,z'
loop_
_atom_site_label
_atom_site_type_symbol
_atom_site_fract_x
_atom_site_fract_y
_atom_site_fract_z
_atom_site_occupancy
Ta1 Ta 0.0000 0.0000 0.0000 1
H1 H 0.0000 0.5000 0.5010 1
H2 H 0.5000 0.5000 0.0022 1
```

Largest 10 diffraction maxima, most intense first, 2θ from 10° to 90°:
2θ/deg	I/Imax	(hkl)
30.55	1000	1 0 0
42.56	823	1 0 1
28.91	576	0 0 1
53.29	449	1 1 1
43.76	381	1 1 0
79.56	272	2 1 1
68.73	203	1 0 2
71.34	182	2 0 1
72.20	176	2 1 0
77.06	148	1 1 2